[1]
For ZrCuAgPb, DFT lattice parameters and positions (PBE) gives the theoretical PXRD pattern in this record (Cu Kα X-rays).
Kinematic intensities with the Lorentz-polarization factor, no thermal factor.

Cell and atoms:
a b c (Å): 6.8161 6.8161 6.8161
angles (deg): 90.00 90.00 90.00
Positions (direct):
Zr 0.0000 0.0000 0.0000
Zr 0.0000 0.5000 0.5000
Zr 0.5000 0.0000 0.5000
Zr 0.5000 0.5000 0.0000
Cu 0.2500 0.2500 0.7500
Cu 0.2500 0.7500 0.2500
Cu 0.7500 0.2500 0.2500
Cu 0.7500 0.7500 0.7500
Ag 0.2500 0.2500 0.2500
Ag 0.2500 0.7500 0.7500
Ag 0.7500 0.2500 0.7500
Ag 0.7500 0.7500 0.2500
Pb 0.0000 0.0000 0.5000
Pb 0.0000 0.5000 0.0000
Pb 0.5000 0.0000 0.0000
Pb 0.5000 0.5000 0.5000

Most intense lines, 10° ≤ 2θ ≤ 90°, sorted by position:
d = 3.935 Å, 2θ 22.59, intensity 14; d = 3.408 Å, 2θ 26.15, intensity 7; d = 2.410 Å, 2θ 37.31, intensity 100; d = 2.055 Å, 2θ 44.06, intensity 8; d = 1.704 Å, 2θ 53.80, intensity 17; d = 1.564 Å, 2θ 59.08, intensity 4; d = 1.524 Å, 2θ 60.77, intensity 3; d = 1.391 Å, 2θ 67.30, intensity 34; d = 1.205 Å, 2θ 79.56, intensity 11; d = 1.152 Å, 2θ 84.00, intensity 3

[2]
For LaErCu, DFT lattice parameters and positions (PBE) gives the theoretical PXRD pattern in this record (Cu Kα X-rays).
Kinematic intensities with the Lorentz-polarization factor, no thermal factor.

Cell and atoms:
a b c (Å): 6.9340 6.9340 6.9340
angles (deg): 90.00 90.00 90.00
Positions (direct):
La 0.0000 0.0000 0.0000
La 0.0000 0.5000 0.5000
La 0.5000 0.0000 0.5000
La 0.5000 0.5000 0.0000
Er 0.0000 0.0000 0.5000
Er 0.0000 0.5000 0.0000
Er 0.5000 0.0000 0.0000
Er 0.5000 0.5000 0.5000
Cu 0.2500 0.2500 0.7500
Cu 0.2500 0.7500 0.2500
Cu 0.7500 0.2500 0.2500
Cu 0.7500 0.7500 0.7500

Most intense lines, 10° ≤ 2θ ≤ 90°, sorted by position:
d = 4.003 Å, 2θ 22.21, intensity 10; d = 3.467 Å, 2θ 25.70, intensity 49; d = 2.452 Å, 2θ 36.66, intensity 100; d = 2.002 Å, 2θ 45.30, intensity 15; d = 1.734 Å, 2θ 52.81, intensity 17; d = 1.550 Å, 2θ 59.63, intensity 20; d = 1.415 Å, 2θ 66.00, intensity 35; d = 1.226 Å, 2θ 77.94, intensity 11; d = 1.156 Å, 2θ 83.68, intensity 10; d = 1.096 Å, 2θ 89.36, intensity 16

[3]
For SmTc2, DFT lattice parameters and positions (PBE) gives the theoretical PXRD pattern in this record (Cu Kα X-rays).
Kinematic intensities with the Lorentz-polarization factor, no thermal factor.

Cell and atoms:
a b c (Å): 5.4514 5.4514 5.4514
angles (deg): 60.00 60.00 60.00
Positions (direct):
Sm 0.1250 0.1250 0.1250
Sm 0.8750 0.8750 0.8750
Tc 0.0000 0.5000 0.5000
Tc 0.5000 0.0000 0.5000
Tc 0.5000 0.5000 0.0000
Tc 0.5000 0.5000 0.5000

Most intense lines, 10° ≤ 2θ ≤ 90°, sorted by position:
d = 2.726 Å, 2θ 32.86, intensity 41; d = 2.324 Å, 2θ 38.74, intensity 100; d = 2.226 Å, 2θ 40.53, intensity 28; d = 1.927 Å, 2θ 47.16, intensity 1; d = 1.574 Å, 2θ 58.67, intensity 16; d = 1.484 Å, 2θ 62.61, intensity 32; d = 1.363 Å, 2θ 68.90, intensity 26; d = 1.219 Å, 2θ 78.46, intensity 7; d = 1.176 Å, 2θ 81.95, intensity 11; d = 1.162 Å, 2θ 83.11, intensity 10

[4]
For Dy2TmGe4Au4, DFT lattice parameters and positions (PBE) gives the theoretical PXRD pattern in this record (Cu Kα X-rays).
Kinematic intensities with the Lorentz-polarization factor, no thermal factor.

Cell and atoms:
a b c (Å): 8.3882 8.3882 8.3882
angles (deg): 149.90 130.30 59.20
Positions (direct):
Dy 0.1259 0.1259 0.0000
Dy 0.8741 0.8741 0.0000
Tm 0.5000 0.0000 0.5000
Ge 0.1860 0.5000 0.6860
Ge 0.2842 0.7842 0.5000
Ge 0.7158 0.2158 0.5000
Ge 0.8140 0.5000 0.3140
Au 0.1303 0.3328 0.7976
Au 0.4648 0.6672 0.7976
Au 0.5352 0.3328 0.2024
Au 0.8697 0.6672 0.2024

Most intense lines, 10° ≤ 2θ ≤ 90°, sorted by position:
d = 3.245 Å, 2θ 27.49, intensity 21; d = 2.694 Å, 2θ 33.26, intensity 100; d = 2.599 Å, 2θ 34.51, intensity 58; d = 2.431 Å, 2θ 36.98, intensity 24; d = 2.387 Å, 2θ 37.68, intensity 39; d = 2.178 Å, 2θ 41.45, intensity 38; d = 2.116 Å, 2θ 42.74, intensity 32; d = 1.999 Å, 2θ 45.37, intensity 23; d = 1.622 Å, 2θ 56.74, intensity 16; d = 1.518 Å, 2θ 61.03, intensity 36

[5]
For KPrO3, DFT lattice parameters and positions (PBE) gives the theoretical PXRD pattern in this record (Cu Kα X-rays).
Kinematic intensities with the Lorentz-polarization factor, no thermal factor.

Cell and atoms:
a b c (Å): 6.3510 6.3510 6.3510
angles (deg): 62.33 62.33 62.33
Positions (direct):
K 0.1209 0.1209 0.1209
K 0.8791 0.8791 0.8791
Pr 0.3552 0.3552 0.3552
Pr 0.6448 0.6448 0.6448
O 0.0433 0.6861 0.4962
O 0.3139 0.5038 0.9567
O 0.4962 0.0433 0.6861
O 0.5038 0.9567 0.3139
O 0.6861 0.4962 0.0433
O 0.9567 0.3139 0.5038

Most intense lines, 10° ≤ 2θ ≤ 90°, sorted by position:
d = 5.334 Å, 2θ 16.62, intensity 50; d = 5.092 Å, 2θ 17.41, intensity 45; d = 4.565 Å, 2θ 19.45, intensity 18; d = 3.287 Å, 2θ 27.13, intensity 100; d = 3.172 Å, 2θ 28.14, intensity 85; d = 2.762 Å, 2θ 32.42, intensity 53; d = 2.282 Å, 2θ 39.48, intensity 43; d = 2.013 Å, 2θ 45.04, intensity 23; d = 1.898 Å, 2θ 47.94, intensity 32; d = 1.875 Å, 2θ 48.56, intensity 45

[6]
For TbSmC2Br2, DFT lattice parameters and positions (PBE) gives the theoretical PXRD pattern in this record (Cu Kα X-rays).
Kinematic intensities with the Lorentz-polarization factor, no thermal factor.

Cell and atoms:
a b c (Å): 7.1798 3.8517 11.0537
angles (deg): 90.00 94.39 90.00
Positions (direct):
Tb 0.0000 0.0000 0.0000
Tb 0.5000 0.5000 0.0000
Sm 0.2901 0.0000 0.2656
Sm 0.7901 0.5000 0.2656
C 0.0704 0.5000 0.1611
C 0.2199 0.5000 0.0967
C 0.5704 0.0000 0.1611
C 0.7199 0.0000 0.0967
Br 0.3238 0.0000 0.8305
Br 0.4694 0.5000 0.4399
Br 0.8238 0.5000 0.8305
Br 0.9694 0.0000 0.4399

Most intense lines, 10° ≤ 2θ ≤ 90°, sorted by position:
d = 5.511 Å, 2θ 16.08, intensity 25; d = 3.392 Å, 2θ 26.27, intensity 49; d = 3.113 Å, 2θ 28.68, intensity 75; d = 2.937 Å, 2θ 30.44, intensity 35; d = 2.902 Å, 2θ 30.81, intensity 21; d = 2.843 Å, 2θ 31.47, intensity 100; d = 2.448 Å, 2θ 36.71, intensity 39; d = 2.178 Å, 2θ 41.47, intensity 34; d = 2.028 Å, 2θ 44.67, intensity 40; d = 1.638 Å, 2θ 56.16, intensity 22